For Ge7HN3O20, a cell relaxed with PBE gives the theoretical X-ray powder pattern in this record (Cu Ka).
Kinematic intensities with the Lorentz-polarization factor, no thermal factor.

Structural model:
```
data_Ge7HN3O20
_chemical_formula_sum 'Ge7 H1 N3 O20'
_cell_length_a 7.888
_cell_length_b 7.888
_cell_length_c 7.888
_cell_angle_alpha 90.00
_cell_angle_beta 90.00
_cell_angle_gamma 90.00
_space_group_name_H-M_alt 'P -4 3 m'
_space_group_IT_number 215
_space_group_name_Hall 'P -4 2 3'
loop_
_atom_site_label
_atom_site_type_symbol
_atom_site_fract_x
_atom_site_fract_y
_atom_site_fract_z
Ge1 Ge 0.000 0.000 0.500
Ge2 Ge 0.155 0.155 0.845
H1 H 0.000 0.000 0.000
N1 N 0.000 0.500 0.500
O1 O 0.110 0.110 0.110
O2 O 0.133 0.133 0.620
O3 O 0.263 0.263 0.263
```

Peak list (10 most intense, 2θ = 5–70°, in order of rising 2θ)
h k l	2theta	I/Imax
1 0 0	11.22	100
1 1 1	19.49	19
2 1 1	27.70	25
2 2 0	32.10	22
3 0 0	34.10	12
3 1 0	36.01	14
3 1 1	37.83	15
4 3 0	58.51	7
3 3 3	61.04	9
4 4 0	67.13	7


For TiGeH2N, a cell relaxed with PBE gives the theoretical X-ray powder pattern in this record (Cu Ka).
Kinematic intensities with the Lorentz-polarization factor, no thermal factor.

Structural model:
```
data_TiGeH2N
_chemical_formula_sum 'Ti1 Ge1 H2 N1'
_cell_length_a 3.466
_cell_length_b 3.466
_cell_length_c 4.585
_cell_angle_alpha 90.00
_cell_angle_beta 90.00
_cell_angle_gamma 90.00
_space_group_name_H-M_alt 'P 4/m m m'
_space_group_IT_number 123
_space_group_name_Hall '-P 4 2'
loop_
_atom_site_label
_atom_site_type_symbol
_atom_site_fract_x
_atom_site_fract_y
_atom_site_fract_z
Ti1 Ti 0.000 0.000 0.000
Ge1 Ge 0.500 0.500 0.000
H1 H 0.000 0.500 0.500
N1 N 0.500 0.500 0.500
```

Peak list (10 most intense, 2θ = 5–70°, in order of rising 2θ)
h k l	2theta	I/Imax
0 0 1	19.36	100
1 0 0	25.70	16
1 1 0	36.67	63
0 0 2	39.30	28
1 1 1	41.79	61
1 0 2	47.55	6
2 0 0	52.82	22
1 1 2	54.83	37
2 0 1	56.79	23
2 0 2	67.78	19


For NaGeH, a cell relaxed with PBE gives the theoretical X-ray powder pattern in this record (Cu Ka).
Kinematic intensities with the Lorentz-polarization factor, no thermal factor.

Structural model:
```
data_NaGeH
_chemical_formula_sum 'Na2 Ge2 H2'
_cell_length_a 4.739
_cell_length_b 4.057
_cell_length_c 6.037
_cell_angle_alpha 90.00
_cell_angle_beta 112.79
_cell_angle_gamma 90.00
_space_group_name_H-M_alt 'P 1 21/m 1'
_space_group_IT_number 11
loop_
_space_group_symop_operation_xyz
'x,y,z'
'-x,-y,-z'
'-x,y+1/2,-z'
'x,-y+1/2,z'
loop_
_atom_site_label
_atom_site_type_symbol
_atom_site_fract_x
_atom_site_fract_y
_atom_site_fract_z
Na1 Na 0.113 0.250 0.299
Ge1 Ge 0.442 0.250 0.853
H1 H 0.209 0.750 0.140
```

Peak list (10 most intense, 2θ = 5–70°, in order of rising 2θ)
h k l	2theta	I/Imax
0 0 1	15.92	51
1 0 -1	20.37	100
0 1 1	27.20	26
1 1 -1	30.10	81
2 0 -1	37.92	88
1 1 -2	38.02	44
0 1 2	39.26	53
0 2 0	44.67	24
1 2 -1	49.56	19
2 1 -3	55.90	18


For Na2GeH14S3O7, a cell relaxed with PBE gives the theoretical X-ray powder pattern in this record (Cu Ka).
Kinematic intensities with the Lorentz-polarization factor, no thermal factor.

Structural model:
```
data_Na2GeH14S3O7
_chemical_formula_sum 'Na4 Ge2 H28 S6 O14'
_cell_length_a 7.139
_cell_length_b 9.396
_cell_length_c 10.232
_cell_angle_alpha 92.97
_cell_angle_beta 95.29
_cell_angle_gamma 105.28
_space_group_name_H-M_alt 'P -1'
_space_group_IT_number 2
loop_
_space_group_symop_operation_xyz
'x,y,z'
'-x,-y,-z'
loop_
_atom_site_label
_atom_site_type_symbol
_atom_site_fract_x
_atom_site_fract_y
_atom_site_fract_z
Na1 Na 0.085 0.471 0.160
Na2 Na 0.294 0.368 0.444
Ge1 Ge 0.435 0.090 0.887
H1 H 0.018 0.164 0.247
H2 H 0.039 0.751 0.056
H3 H 0.054 0.861 0.503
H4 H 0.070 0.634 0.393
H5 H 0.103 0.150 0.617
H6 H 0.178 0.334 0.926
H7 H 0.215 0.181 0.189
H8 H 0.270 0.754 0.777
H9 H 0.293 0.659 0.414
H10 H 0.336 0.664 0.891
H11 H 0.361 0.554 0.701
H12 H 0.442 0.131 0.561
H13 H 0.450 0.854 0.568
H14 H 0.454 0.425 0.722
S1 S 0.276 0.979 0.697
S2 S 0.285 0.984 0.063
S3 S 0.492 0.328 0.914
O1 O 0.044 0.210 0.558
O2 O 0.049 0.348 0.941
O3 O 0.143 0.237 0.238
O4 O 0.171 0.582 0.380
O5 O 0.253 0.653 0.805
O6 O 0.430 0.491 0.654
O7 O 0.496 0.797 0.500
```

Peak list (10 most intense, 2θ = 5–70°, in order of rising 2θ)
h k l	2theta	I/Imax
0 0 1	8.71	68
1 0 0	12.93	56
0 1 1	13.62	33
1 0 -1	14.79	33
-1 1 1	16.13	100
1 1 0	18.25	35
2 0 -1	26.55	29
1 1 2	26.88	32
0 1 -3	27.40	34
2 -4 1	42.45	52